Theoretical powder diffractogram
Compound: Sr2Sc3MnO8
Radiation: Cu Kα (weighted mean of Kα1 and Kα2)
Structure: DFT lattice parameters and positions (PBE+U)

Peak list (8 most intense, 10° ≤ 2θ ≤ 80°, sorted by position)
2θ/deg, intensity
18.90, 57.3
28.09, 86.8
29.65, 70.9
31.87, 93.2
38.35, 100.0
41.38, 68.7
52.54, 42.4
58.07, 66.9

abc: 7.0334 7.0334 7.0334
angles: 53.70 53.70 53.70
Atoms (fractional coordinates):
Sr  0.0000  0.0000  0.0000
Sr  0.3537  0.3537  0.3537
Sc  0.4977  0.9963  0.9963
Sc  0.9963  0.4977  0.9963
Sc  0.9963  0.9963  0.4977
Mn  0.5311  0.5311  0.5311
O  0.2227  0.2227  0.2227
O  0.2265  0.7375  0.7375
O  0.2659  0.2659  0.7784
O  0.2659  0.7784  0.2659
O  0.7375  0.2265  0.7375
O  0.7375  0.7375  0.2265
O  0.7784  0.2659  0.2659
O  0.7777  0.7777  0.7777

***

Theoretical powder diffractogram
Compound: Sc2MnTeO8
Radiation: Cu Kα (weighted mean of Kα1 and Kα2)
Structure: DFT lattice parameters and positions (PBE+U)

Peak list (8 most intense, 10° ≤ 2θ ≤ 80°, sorted by position)
2θ/deg, intensity
18.66, 46.5
25.84, 94.2
27.17, 74.5
34.55, 100.0
39.08, 28.0
51.41, 58.4
52.93, 45.3
66.24, 34.4

abc: 4.7604 4.7604 6.1965
angles: 90.00 90.00 92.84
Atoms (fractional coordinates):
Sc  0.0000  0.0000  0.2406
Sc  0.0000  0.0000  0.7594
Mn  0.5000  0.5000  0.0000
Te  0.5000  0.5000  0.5000
O  0.2068  0.2068  0.5000
O  0.2100  0.2100  0.0000
O  0.3178  0.6822  0.2537
O  0.3178  0.6822  0.7463
O  0.6822  0.3178  0.2537
O  0.6822  0.3178  0.7463
O  0.7900  0.7900  0.0000
O  0.7932  0.7932  0.5000

***

Theoretical powder diffractogram
Compound: Mn3SeO6
Radiation: Cu Kα (weighted mean of Kα1 and Kα2)
Structure: DFT lattice parameters and positions (PBE+U)

Peak list (8 most intense, 10° ≤ 2θ ≤ 80°, sorted by position)
2θ/deg, intensity
22.89, 20.0
27.70, 79.4
30.79, 30.9
31.32, 100.0
36.56, 30.3
41.89, 28.9
57.17, 40.9
58.58, 19.5

abc: 6.7133 6.7133 5.8076
angles: 90.00 90.00 102.26
Atoms (fractional coordinates):
Mn  0.0408  0.9592  0.5000
Mn  0.1760  0.4597  0.6497
Mn  0.4597  0.1760  0.1497
Mn  0.5403  0.8240  0.6497
Mn  0.8240  0.5403  0.1497
Mn  0.9592  0.0408  0.0000
Se  0.3385  0.6615  0.1005
Se  0.6615  0.3385  0.6005
O  0.0952  0.5829  0.9843
O  0.1388  0.1688  0.7413
O  0.1688  0.1388  0.2413
O  0.2561  0.7439  0.5165
O  0.4171  0.9048  0.9843
O  0.4498  0.5502  0.8617
O  0.5502  0.4498  0.3617
O  0.5829  0.0952  0.4843
O  0.7439  0.2561  0.0165
O  0.8312  0.8612  0.7413
O  0.8612  0.8312  0.2413
O  0.9048  0.4171  0.4843

***

Theoretical powder diffractogram
Compound: Mn3Se4O2
Radiation: Cu Kα (weighted mean of Kα1 and Kα2)
Structure: DFT lattice parameters and positions (PBE+U)

Peak list (8 most intense, 10° ≤ 2θ ≤ 80°, sorted by position)
2θ/deg, intensity
12.66, 26.0
25.48, 18.2
30.68, 74.4
35.24, 24.6
37.58, 29.3
40.29, 100.0
54.55, 34.3
69.96, 18.3

abc: 3.3644 3.3644 20.9765
angles: 90.00 90.00 120.00
Atoms (fractional coordinates):
Mn  0.0000  0.0000  0.0000
Mn  0.3333  0.6667  0.2638
Mn  0.3333  0.6667  0.7362
Se  0.0000  0.0000  0.1846
Se  0.0000  0.0000  0.3435
Se  0.0000  0.0000  0.6565
Se  0.0000  0.0000  0.8154
O  0.3333  0.6667  0.0494
O  0.3333  0.6667  0.9506

***

Theoretical powder diffractogram
Compound: MnSe2O5
Radiation: Cu Kα (weighted mean of Kα1 and Kα2)
Structure: DFT lattice parameters and positions (PBE+U)

Peak list (8 most intense, 10° ≤ 2θ ≤ 80°, sorted by position)
2θ/deg, intensity
20.54, 39.1
25.03, 100.0
27.83, 46.4
30.35, 65.1
30.72, 21.9
31.83, 21.3
39.75, 17.6
51.69, 25.8

abc: 6.9673 10.8347 6.4072
angles: 90.00 90.00 90.00
Atoms (fractional coordinates):
Mn  0.0000  0.0603  0.2500
Mn  0.0000  0.9397  0.7500
Mn  0.5000  0.4397  0.7500
Mn  0.5000  0.5603  0.2500
Se  0.1338  0.3442  0.0415
Se  0.1338  0.6558  0.5415
Se  0.3662  0.1558  0.5415
Se  0.3662  0.8442  0.0415
Se  0.6338  0.1558  0.9585
Se  0.6338  0.8442  0.4585
Se  0.8662  0.3442  0.4585
Se  0.8662  0.6558  0.9585
O  0.0000  0.4301  0.2500
O  0.0000  0.5699  0.7500
O  0.1604  0.0678  0.5484
O  0.1604  0.9322  0.0484
O  0.1987  0.2131  0.1670
O  0.1987  0.7869  0.6670
O  0.3013  0.2869  0.6670
O  0.3013  0.7131  0.1670
O  0.3396  0.4322  0.0484
O  0.3396  0.5678  0.5484
O  0.5000  0.0699  0.7500
O  0.5000  0.9301  0.2500
O  0.6604  0.4322  0.4516
O  0.6604  0.5678  0.9516
O  0.6987  0.2869  0.8330
O  0.6987  0.7131  0.3330
O  0.8013  0.2131  0.3330
O  0.8013  0.7869  0.8330
O  0.8396  0.0678  0.9516
O  0.8396  0.9322  0.4516